The following is a theoretical powder diffractogram of Sm6Fe13Pb. It was derived from a DFT-relaxed cell (PBE, Alexandria), using Cu Kα (λ = 1.5418 Å).
Kinematic intensities with the Lorentz-polarization factor, no thermal factor.

Structure:
Lattice parameters (Å, degrees): 12.959 12.959 12.959 143.94 143.94 51.91
Sites, in units of the cell vectors:
1 Sm 0.020 0.520 0.173
2 Sm 0.104 0.104 0.000
3 Sm 0.153 0.980 0.500
4 Sm 0.347 0.847 0.827
5 Sm 0.396 0.396 0.000
6 Sm 0.480 0.653 0.500
7 Sm 0.520 0.347 0.500
8 Sm 0.604 0.604 0.000
9 Sm 0.653 0.153 0.173
10 Sm 0.847 0.020 0.500
11 Sm 0.896 0.896 0.000
12 Sm 0.980 0.480 0.827
13 Fe 0.000 0.500 0.500
14 Fe 0.020 0.292 0.500
15 Fe 0.067 0.209 0.276
16 Fe 0.120 0.620 0.858
17 Fe 0.208 0.480 0.500
18 Fe 0.209 0.933 0.143
19 Fe 0.238 0.738 0.858
20 Fe 0.262 0.120 0.500
21 Fe 0.291 0.433 0.724
22 Fe 0.292 0.792 0.272
23 Fe 0.380 0.238 0.500
24 Fe 0.433 0.709 0.143
25 Fe 0.480 0.980 0.272
26 Fe 0.500 0.000 0.500
27 Fe 0.520 0.020 0.728
28 Fe 0.567 0.291 0.857
29 Fe 0.620 0.762 0.500
30 Fe 0.708 0.208 0.728
31 Fe 0.709 0.567 0.276
32 Fe 0.738 0.880 0.500
33 Fe 0.762 0.262 0.142
34 Fe 0.791 0.067 0.857
35 Fe 0.792 0.520 0.500
36 Fe 0.880 0.380 0.142
37 Fe 0.933 0.791 0.724
38 Fe 0.980 0.708 0.500
39 Pb 0.250 0.250 0.000
40 Pb 0.750 0.750 0.000

The 8 most intense peaks (15 to 90 degrees two-theta), by angle:
two_theta, I (rel.)
27.39, 718
31.50, 1000
32.08, 475
34.62, 380
35.39, 965
38.18, 639
43.09, 458
46.84, 415